Ba3NaIrO6: computed XRD peak list (copper Kα), based on a cell relaxed with PBE.
Kinematic intensities with the Lorentz-polarization factor, no thermal factor.

Atomic structure:
a b c (Å): 7.1583 7.1583 7.1583
angles (deg): 91.49 91.49 91.49
Element x y z (fractional)
1 Ba 0.1062 0.7500 0.3938
2 Ba 0.2500 0.6062 0.8938
3 Ba 0.3938 0.1062 0.7500
4 Ba 0.6062 0.8938 0.2500
5 Ba 0.7500 0.3938 0.1062
6 Ba 0.8938 0.2500 0.6062
7 Na 0.2500 0.2500 0.2500
8 Na 0.7500 0.7500 0.7500
9 Ir 0.0000 0.0000 0.0000
10 Ir 0.5000 0.5000 0.5000
11 O 0.0512 0.9182 0.7336
12 O 0.0818 0.2664 0.9488
13 O 0.2336 0.4182 0.5512
14 O 0.2664 0.9488 0.0818
15 O 0.4182 0.5512 0.2336
16 O 0.4488 0.7664 0.5818
17 O 0.5512 0.2336 0.4182
18 O 0.5818 0.4488 0.7664
19 O 0.7336 0.0512 0.9182
20 O 0.7664 0.5818 0.4488
21 O 0.9182 0.7336 0.0512
22 O 0.9488 0.0818 0.2664

Main lines, low angle first (2θ = 5–70°):
- 2θ = 17.8°, I = 56.4
- 2θ = 28.2°, I = 76.1
- 2θ = 30.2°, I = 100.0
- 2θ = 39.5°, I = 19.8
- 2θ = 40.2°, I = 18.9
- 2θ = 41.8°, I = 41.4
- 2θ = 48.6°, I = 20.7
- 2θ = 52.4°, I = 19.6
- 2θ = 53.6°, I = 17.4
- 2θ = 58.3°, I = 16.6